Starting from a DFT-relaxed cell (GGA-PBE, Alexandria), the X-ray diffraction stick pattern of Ag3Te3Au was simulated for copper Kα.
Kinematic intensities with the Lorentz-polarization factor, no thermal factor.

Structure:
Lattice parameters (Å, degrees): 11.0116 11.0116 11.6653 90.00 90.00 30.76
Positions (direct):
Ag: 0.0467 0.5627 0.6102
Ag: 0.0627 0.5467 0.1102
Ag: 0.2148 0.7852 0.8756
Ag: 0.2852 0.7148 0.3756
Ag: 0.4373 0.9533 0.6102
Ag: 0.4533 0.9373 0.1102
Ag: 0.5467 0.0627 0.8898
Ag: 0.5627 0.0467 0.3898
Ag: 0.7148 0.2852 0.6244
Ag: 0.7852 0.2148 0.1244
Ag: 0.9373 0.4533 0.8898
Ag: 0.9533 0.4373 0.3898
Te: 0.0563 0.6021 0.8590
Te: 0.1021 0.5563 0.3590
Te: 0.2319 0.7681 0.6311
Te: 0.2681 0.7319 0.1311
Te: 0.3979 0.9437 0.8590
Te: 0.4437 0.8979 0.3590
Te: 0.5563 0.1021 0.6410
Te: 0.6021 0.0563 0.1410
Te: 0.7319 0.2681 0.8689
Te: 0.7681 0.2319 0.3689
Te: 0.8979 0.4437 0.6410
Te: 0.9437 0.3979 0.1410
Au: 0.0932 0.0932 0.5000
Au: 0.4068 0.4068 0.0000
Au: 0.5932 0.5932 0.0000
Au: 0.9068 0.9068 0.5000

Main lines, sorted by position (2θ from 5° to 70°):
2theta	d_spacing	Rel. int.
15.19	5.833	16
17.49	5.071	31
25.16	3.539	26
27.06	3.295	22
27.88	3.200	16
30.64	2.918	43
35.09	2.557	26
36.74	2.446	19
40.05	2.252	100
43.88	2.063	50
62.79	1.480	14
63.79	1.459	14